(1)
Starting from DFT lattice parameters and positions (PBE), the powder X-ray diffraction pattern of Nd2BiSbTe2 was computed for Cu Kα.

Principal peaks in the range 2θ from 5° to 70°, in order of rising 2θ:
27.98°, d 3.189, intensity 42.1
30.17°, d 2.962, intensity 100.0
34.36°, d 2.610, intensity 81.9
34.73°, d 2.583, intensity 41.1
40.98°, d 2.203, intensity 52.9
50.35°, d 1.812, intensity 33.5
54.77°, d 1.676, intensity 22.3
59.34°, d 1.557, intensity 17.8
66.85°, d 1.399, intensity 14.3
68.01°, d 1.379, intensity 19.7

Cell and atoms:
a b c (Å): 4.4052 4.4052 9.5667
angles (deg): 90.00 90.00 90.00
Fractional positions:
Nd 0.0000 0.5000 0.2205
Nd 0.5000 0.0000 0.7795
Bi 0.0000 0.0000 0.5000
Sb 0.5000 0.5000 0.5000
Te 0.0000 0.5000 0.8750
Te 0.5000 0.0000 0.1250


(2)
Starting from DFT lattice parameters and positions (PBE), the powder X-ray diffraction pattern of Nd2Bi2TeSe was computed for Cu Kα.

Principal peaks in the range 2θ from 5° to 70°, in order of rising 2θ:
9.36°, d 9.448, intensity 30.7
28.34°, d 3.149, intensity 43.9
30.24°, d 2.956, intensity 100.0
34.52°, d 2.599, intensity 78.8
35.04°, d 2.561, intensity 19.4
41.02°, d 2.200, intensity 45.2
48.38°, d 1.881, intensity 16.0
50.61°, d 1.804, intensity 36.1
67.10°, d 1.395, intensity 15.6
68.10°, d 1.377, intensity 20.3

Cell and atoms:
a b c (Å): 4.4007 4.4007 9.4476
angles (deg): 90.00 90.00 90.00
Fractional positions:
Nd 0.0000 0.0000 0.0000
Nd 0.5000 0.5000 0.4140
Bi 0.0000 0.5000 0.7066
Bi 0.5000 0.0000 0.7066
Te 0.5000 0.5000 0.0808
Se 0.0000 0.0000 0.3355


(3)
Starting from DFT lattice parameters and positions (PBE), the powder X-ray diffraction pattern of Nd5Si2Bi was computed for Cu Kα.

Principal peaks in the range 2θ from 5° to 70°, in order of rising 2θ:
15.74°, d 5.632, intensity 23.7
25.75°, d 3.460, intensity 54.7
29.25°, d 3.053, intensity 71.4
31.17°, d 2.870, intensity 97.2
31.78°, d 2.816, intensity 36.0
33.38°, d 2.684, intensity 100.0
35.65°, d 2.519, intensity 90.6
50.90°, d 1.794, intensity 42.7
55.06°, d 1.668, intensity 45.6
63.11°, d 1.473, intensity 33.8

Cell and atoms:
a b c (Å): 9.1937 9.1937 9.1937
angles (deg): 128.66 128.66 75.55
Fractional positions:
Nd 0.0000 0.0000 0.0000
Nd 0.0314 0.5314 0.8369
Nd 0.1945 0.0314 0.5000
Nd 0.3055 0.8055 0.8369
Nd 0.4686 0.3055 0.5000
Nd 0.5000 0.5000 0.0000
Nd 0.5314 0.6945 0.5000
Nd 0.6945 0.1945 0.1631
Nd 0.8055 0.9686 0.5000
Nd 0.9686 0.4686 0.1631
Si 0.1246 0.3754 0.5000
Si 0.3754 0.8754 0.2508
Si 0.6246 0.1246 0.7492
Si 0.8754 0.6246 0.5000
Bi 0.2500 0.2500 0.0000
Bi 0.7500 0.7500 0.0000


(4)
Starting from DFT lattice parameters and positions (PBE), the powder X-ray diffraction pattern of Ni7Bi was computed for Cu Kα.

Principal peaks in the range 2θ from 5° to 70°, in order of rising 2θ:
5.25°, d 16.827, intensity 100.0
10.51°, d 8.413, intensity 10.7
13.15°, d 6.731, intensity 6.8
18.45°, d 4.808, intensity 4.9
31.92°, d 2.803, intensity 5.6
42.44°, d 2.130, intensity 25.6
44.84°, d 2.022, intensity 12.9
47.09°, d 1.930, intensity 5.2
47.59°, d 1.911, intensity 10.8
56.90°, d 1.618, intensity 4.7

Cell and atoms:
a b c (Å): 2.8316 3.2361 33.6536
angles (deg): 90.00 90.00 90.00
Fractional positions:
Ni 0.0000 0.0000 0.0000
Ni 0.0000 0.0000 0.0722
Ni 0.0000 0.0000 0.1454
Ni 0.0000 0.0000 0.2184
Ni 0.0000 0.0000 0.2910
Ni 0.0000 0.0000 0.3641
Ni 0.0000 0.0000 0.4376
Ni 0.5000 0.5000 0.0360
Ni 0.5000 0.5000 0.1092
Ni 0.5000 0.5000 0.1819
Ni 0.5000 0.5000 0.2548
Ni 0.5000 0.5000 0.3276
Ni 0.5000 0.5000 0.4002
Ni 0.5000 0.5000 0.9626
Bi 0.0000 0.0000 0.9120
Bi 0.5000 0.5000 0.4883


(5)
Starting from DFT lattice parameters and positions (PBE), the powder X-ray diffraction pattern of Ni3Bi4 was computed for Cu Kα.

Principal peaks in the range 2θ from 5° to 70°, in order of rising 2θ:
30.21°, d 2.959, intensity 100.0
30.37°, d 2.943, intensity 50.8
30.62°, d 2.920, intensity 36.7
32.77°, d 2.733, intensity 19.8
41.76°, d 2.163, intensity 29.3
42.04°, d 2.149, intensity 18.6
44.63°, d 2.030, intensity 22.5
44.99°, d 2.015, intensity 43.1
55.12°, d 1.666, intensity 20.8
57.10°, d 1.613, intensity 21.6

Cell and atoms:
a b c (Å): 12.8875 4.0603 6.9641
angles (deg): 90.00 121.98 90.00
Fractional positions:
Ni 0.0000 0.0000 0.0000
Ni 0.2463 0.0000 0.2540
Ni 0.2537 0.5000 0.7460
Ni 0.5000 0.5000 0.0000
Ni 0.7463 0.5000 0.2540
Ni 0.7537 0.0000 0.7460
Bi 0.1254 0.0000 0.4687
Bi 0.1262 0.5000 0.9547
Bi 0.3738 0.0000 0.0453
Bi 0.3746 0.5000 0.5313
Bi 0.6254 0.5000 0.4687
Bi 0.6262 0.0000 0.9547
Bi 0.8738 0.5000 0.0453
Bi 0.8746 0.0000 0.5313


(6)
Starting from DFT lattice parameters and positions (PBE), the powder X-ray diffraction pattern of Ni7Bi2 was computed for Cu Kα.

Principal peaks in the range 2θ from 5° to 70°, in order of rising 2θ:
7.07°, d 12.511, intensity 100.0
14.16°, d 6.256, intensity 18.7
33.40°, d 2.683, intensity 17.4
34.95°, d 2.567, intensity 16.3
36.26°, d 2.478, intensity 11.4
37.88°, d 2.375, intensity 44.6
39.79°, d 2.266, intensity 13.5
44.34°, d 2.043, intensity 9.9
49.69°, d 1.835, intensity 19.7
59.32°, d 1.558, intensity 12.1

Cell and atoms:
a b c (Å): 3.1159 3.1159 25.0224
angles (deg): 90.00 90.00 120.00
Fractional positions:
Ni 0.0000 0.0000 0.0000
Ni 0.0000 0.0000 0.1865
Ni 0.3333 0.6667 0.0623
Ni 0.3333 0.6667 0.2499
Ni 0.3333 0.6667 0.8741
Ni 0.6667 0.3333 0.1244
Ni 0.6667 0.3333 0.9376
Bi 0.0000 0.0000 0.7920
Bi 0.6667 0.3333 0.3320


(7)
Starting from DFT lattice parameters and positions (PBE), the powder X-ray diffraction pattern of Ni10Bi was computed for Cu Kα.

Principal peaks in the range 2θ from 5° to 70°, in order of rising 2θ:
5.96°, d 14.826, intensity 100.0
11.94°, d 7.413, intensity 10.1
29.17°, d 3.062, intensity 8.0
43.84°, d 2.065, intensity 29.6
44.17°, d 2.050, intensity 14.8
44.94°, d 2.017, intensity 25.6
46.36°, d 1.959, intensity 7.1
51.60°, d 1.771, intensity 7.9
51.78°, d 1.766, intensity 7.3
51.83°, d 1.764, intensity 13.2

Cell and atoms:
a b c (Å): 4.2850 4.2850 29.6513
angles (deg): 90.14 90.14 48.64
Fractional positions:
Ni 0.0466 0.0466 0.2756
Ni 0.0500 0.0500 0.5395
Ni 0.1489 0.1489 0.3550
Ni 0.1508 0.1508 0.6185
Ni 0.2499 0.2499 0.4340
Ni 0.2515 0.2515 0.6975
Ni 0.3501 0.3501 0.5132
Ni 0.3517 0.3517 0.2500
Ni 0.4484 0.4484 0.3288
Ni 0.4504 0.4504 0.5923
Ni 0.5496 0.5496 0.4077
Ni 0.5516 0.5516 0.6712
Ni 0.6483 0.6483 0.7500
Ni 0.6499 0.6499 0.4868
Ni 0.7485 0.7485 0.3025
Ni 0.7501 0.7501 0.5660
Ni 0.8492 0.8492 0.3815
Ni 0.8511 0.8511 0.6450
Ni 0.9500 0.9500 0.4605
Ni 0.9534 0.9534 0.7244
Bi 0.3470 0.3470 0.7913
Bi 0.6530 0.6530 0.2087


(8)
Starting from DFT lattice parameters and positions (PBE), the powder X-ray diffraction pattern of Ni8Bi was computed for Cu Kα.

Principal peaks in the range 2θ from 5° to 70°, in order of rising 2θ:
7.28°, d 12.146, intensity 100.0
28.73°, d 3.107, intensity 10.6
29.90°, d 2.988, intensity 9.8
33.43°, d 2.680, intensity 13.8
38.21°, d 2.355, intensity 9.4
43.86°, d 2.064, intensity 42.7
44.69°, d 2.028, intensity 40.7
50.68°, d 1.801, intensity 12.4
51.81°, d 1.764, intensity 12.8
52.25°, d 1.751, intensity 11.8

Cell and atoms:
a b c (Å): 4.2765 4.2765 24.2924
angles (deg): 90.33 90.33 48.74
Fractional positions:
Ni 0.0492 0.0492 0.3867
Ni 0.0526 0.0526 0.7108
Ni 0.1501 0.1501 0.4837
Ni 0.2501 0.2501 0.5808
Ni 0.2510 0.2510 0.2579
Ni 0.3489 0.3489 0.3545
Ni 0.3513 0.3513 0.6778
Ni 0.4501 0.4501 0.4515
Ni 0.5499 0.5499 0.5485
Ni 0.6487 0.6487 0.3222
Ni 0.6511 0.6511 0.6455
Ni 0.7490 0.7490 0.7421
Ni 0.7499 0.7499 0.4192
Ni 0.8499 0.8499 0.5163
Ni 0.9474 0.9474 0.2892
Ni 0.9508 0.9508 0.6133
Bi 0.4489 0.4489 0.7934
Bi 0.5511 0.5511 0.2066


> What is the formula in the sixth record?

Ni7Bi2


Repeat the seventh record exactly.
Starting from DFT lattice parameters and positions (PBE), the powder X-ray diffraction pattern of Ni10Bi was computed for Cu Kα.

Principal peaks in the range 2θ from 5° to 70°, in order of rising 2θ:
5.96°, d 14.826, intensity 100.0
11.94°, d 7.413, intensity 10.1
29.17°, d 3.062, intensity 8.0
43.84°, d 2.065, intensity 29.6
44.17°, d 2.050, intensity 14.8
44.94°, d 2.017, intensity 25.6
46.36°, d 1.959, intensity 7.1
51.60°, d 1.771, intensity 7.9
51.78°, d 1.766, intensity 7.3
51.83°, d 1.764, intensity 13.2

Cell and atoms:
a b c (Å): 4.2850 4.2850 29.6513
angles (deg): 90.14 90.14 48.64
Fractional positions:
Ni 0.0466 0.0466 0.2756
Ni 0.0500 0.0500 0.5395
Ni 0.1489 0.1489 0.3550
Ni 0.1508 0.1508 0.6185
Ni 0.2499 0.2499 0.4340
Ni 0.2515 0.2515 0.6975
Ni 0.3501 0.3501 0.5132
Ni 0.3517 0.3517 0.2500
Ni 0.4484 0.4484 0.3288
Ni 0.4504 0.4504 0.5923
Ni 0.5496 0.5496 0.4077
Ni 0.5516 0.5516 0.6712
Ni 0.6483 0.6483 0.7500
Ni 0.6499 0.6499 0.4868
Ni 0.7485 0.7485 0.3025
Ni 0.7501 0.7501 0.5660
Ni 0.8492 0.8492 0.3815
Ni 0.8511 0.8511 0.6450
Ni 0.9500 0.9500 0.4605
Ni 0.9534 0.9534 0.7244
Bi 0.3470 0.3470 0.7913
Bi 0.6530 0.6530 0.2087